KZn2Cr2O6: simulated X-ray diffraction stick pattern (Cu Kα (weighted mean of Kα1 and Kα2)), based on the PBE+U geometry in Alexandria.

Structural model:
```
KZn2Cr2O6
1.0
5.757 0.000 0.000
0.955 5.717 0.000
0.373 2.776 5.210
K Zn Cr O
1 2 2 6
Cartesian
0.000 0.000 0.000
1.815 4.924 3.267
5.270 3.569 1.943
2.482 2.029 1.455
4.603 6.464 3.756
1.520 3.572 1.831
2.911 6.508 2.831
2.552 4.373 4.972
4.534 4.120 0.238
4.174 1.985 2.379
5.565 4.921 3.379
```

Main lines, by intensity (15 to 90 degrees two-theta):
Position (°2θ)  I/Imax
25.34  100
29.89  49
33.77  41
32.68  29
36.30  29
17.02  28
17.58  22
30.32  21
48.76  19
33.25  19
41.34  16
21.69  15